(1)
Starting from a DFT-relaxed cell (PBE, Alexandria), the powder diffractogram of HoPuSc2 was simulated for CuKα.
Peak positions follow from Bragg's law for the DFT cell and can differ from measured ones.

The 10 most intense peaks (10° ≤ 2θ ≤ 80°), most intense first:
(0 1 5), 33.78 deg, I 100; (0 0 6), 16.47 deg, I 98; (1 0 7), 36.50 deg, I 81; (1 0 1), 30.84 deg, I 55; (0 0 12), 33.30 deg, I 47; (0 1 2), 31.22 deg, I 41; (1 1 12), 65.48 deg, I 40; (1 1 0), 54.61 deg, I 34; (1 1 6), 57.45 deg, I 25; (0 1 17), 57.98 deg, I 21

```
data_HoPuSc2
_chemical_formula_sum 'Ho3 Pu3 Sc6'
_symmetry_space_group_name_H-M 'R 3 m'
_symmetry_Int_Tables_number 160
_symmetry_space_group_name_Hall 'R 3 -2"'
_cell_length_a 3.3611
_cell_length_b 3.3611
_cell_length_c 32.2888
_cell_angle_alpha 90.00
_cell_angle_beta 90.00
_cell_angle_gamma 120.00
loop_
_atom_site_label
_atom_site_type_symbol
_atom_site_fract_x
_atom_site_fract_y
_atom_site_fract_z
Ho1 Ho 0.0000 0.0000 0.0000
Pu1 Pu 0.0000 0.0000 0.8341
Sc1 Sc 0.0000 0.0000 0.2486
Sc2 Sc 0.0000 0.0000 0.4190
```

(2)
Starting from a DFT-relaxed cell (PBE, Alexandria), the powder diffractogram of Rb2Pa2S5 was simulated for CuKα.
Peak positions follow from Bragg's law for the DFT cell and can differ from measured ones.

The 10 most intense peaks (10° ≤ 2θ ≤ 80°), most intense first:
(3 1 -1), 25.17 deg, I 100; (1 1 1), 24.25 deg, I 100; (2 0 -2), 21.46 deg, I 82; (1 1 0), 17.95 deg, I 69; (0 2 0), 32.92 deg, I 67; (4 0 0), 30.27 deg, I 61; (0 0 1), 12.62 deg, I 52; (4 2 0), 45.35 deg, I 51; (7 1 -3), 49.67 deg, I 46; (6 0 -2), 38.72 deg, I 44

```
data_Rb2Pa2S5
_chemical_formula_sum 'Rb4 Pa4 S10'
_symmetry_space_group_name_H-M 'C 1 2/m 1'
_symmetry_Int_Tables_number 12
_cell_length_a 13.9812
_cell_length_b 5.4409
_cell_length_c 8.3011
_cell_angle_alpha 90.00
_cell_angle_beta 122.36
_cell_angle_gamma 90.00
loop_
_symmetry_equiv_pos_as_xyz
'x,y,z'
'-x,-y,-z'
'-x,y,-z'
'x,-y,z'
'x+1/2,y+1/2,z'
'-x+1/2,-y+1/2,-z'
'-x+1/2,y+1/2,-z'
'x+1/2,-y+1/2,z'
loop_
_atom_site_label
_atom_site_type_symbol
_atom_site_fract_x
_atom_site_fract_y
_atom_site_fract_z
Rb1 Rb 0.1283 0.0000 0.4591
Pa1 Pa 0.1110 0.5000 0.8966
S1 S 0.0000 0.5000 0.5000
S2 S 0.1117 0.5000 0.2158
S3 S 0.1513 0.0000 0.9108
```

(3)
Starting from a DFT-relaxed cell (PBE, Alexandria), the powder diffractogram of Rb2SnHg3Pb4 was simulated for CuKα.
Peak positions follow from Bragg's law for the DFT cell and can differ from measured ones.

The 10 most intense peaks (10° ≤ 2θ ≤ 80°), most intense first:
(1 1 2), 28.07 deg, I 100; (1 1 4), 36.92 deg, I 87; (2 0 0), 34.92 deg, I 83; (1 0 1), 18.54 deg, I 50; (1 0 3), 26.77 deg, I 44; (3 1 4), 63.94 deg, I 37; (1 0 5), 38.53 deg, I 35; (2 2 0), 50.21 deg, I 30; (2 1 5), 52.97 deg, I 28; (0 0 2), 13.50 deg, I 26

```
data_Rb2SnHg3Pb4
_chemical_formula_sum 'Rb2 Sn1 Hg3 Pb4'
_symmetry_space_group_name_H-M 'P -4 m 2'
_symmetry_Int_Tables_number 115
_cell_length_a 5.1388
_cell_length_b 5.1388
_cell_length_c 13.1184
_cell_angle_alpha 90.00
_cell_angle_beta 90.00
_cell_angle_gamma 90.00
loop_
_symmetry_equiv_pos_as_xyz
'x,y,z'
'y,-x,-z'
'-x,-y,z'
'-y,x,-z'
'-x,y,z'
'-y,-x,-z'
'x,-y,z'
'y,x,-z'
loop_
_atom_site_label
_atom_site_type_symbol
_atom_site_fract_x
_atom_site_fract_y
_atom_site_fract_z
Rb1 Rb 0.0000 0.5000 0.2469
Sn1 Sn 0.5000 0.5000 0.0000
Hg1 Hg 0.0000 0.0000 0.0000
Hg2 Hg 0.0000 0.5000 0.6370
Pb1 Pb 0.0000 0.0000 0.5000
Pb2 Pb 0.0000 0.5000 0.8666
Pb3 Pb 0.5000 0.5000 0.5000
```

(4)
Starting from a DFT-relaxed cell (PBE, Alexandria), the powder diffractogram of Ca3HgO4 was simulated for CuKα.
Peak positions follow from Bragg's law for the DFT cell and can differ from measured ones.

The 10 most intense peaks (10° ≤ 2θ ≤ 80°), most intense first:
(1 2 1), 31.64 deg, I 100; (0 0 2), 25.56 deg, I 69; (0 1 1), 16.82 deg, I 55; (0 4 0), 45.06 deg, I 55; (2 4 0), 59.78 deg, I 45; (1 1 0), 21.43 deg, I 39; (2 0 0), 37.16 deg, I 33; (1 0 1), 22.36 deg, I 28; (2 0 2), 45.65 deg, I 27; (0 2 0), 22.12 deg, I 19

```
data_Ca3HgO4
_chemical_formula_sum 'Ca6 Hg2 O8'
_symmetry_space_group_name_H-M 'P m m n'
_symmetry_Int_Tables_number 59
_cell_length_a 4.8388
_cell_length_b 8.0385
_cell_length_c 6.9790
_cell_angle_alpha 90.00
_cell_angle_beta 90.00
_cell_angle_gamma 90.00
loop_
_symmetry_equiv_pos_as_xyz
'x,y,z'
'-x,-y,-z'
'-x+1/2,-y+1/2,z'
'x+1/2,y+1/2,-z'
'x+1/2,-y,-z'
'-x+1/2,y,z'
'-x,y+1/2,-z'
'x,-y+1/2,z'
loop_
_atom_site_label
_atom_site_type_symbol
_atom_site_fract_x
_atom_site_fract_y
_atom_site_fract_z
Ca1 Ca 0.2500 0.0016 0.1688
Ca2 Ca 0.2500 0.2500 0.6567
Hg1 Hg 0.2500 0.7500 0.6719
O1 O 0.2500 0.0104 0.8381
O2 O 0.2500 0.2500 0.3286
O3 O 0.2500 0.7500 0.3285
```

(5)
Starting from a DFT-relaxed cell (PBE, Alexandria), the powder diffractogram of AuSeSBr2 was simulated for CuKα.
Peak positions follow from Bragg's law for the DFT cell and can differ from measured ones.

The 10 most intense peaks (10° ≤ 2θ ≤ 80°), most intense first:
(1 0 0), 17.04 deg, I 100; (2 0 0), 34.47 deg, I 70; (2 0 1), 38.66 deg, I 56; (0 0 1), 16.89 deg, I 53; (2 0 2), 49.32 deg, I 50; (0 0 2), 34.16 deg, I 36; (1 0 1), 24.08 deg, I 35; (1 0 2), 38.41 deg, I 28; (2 2 2), 61.56 deg, I 26; (2 2 0), 49.55 deg, I 25

```
data_AuSeSBr2
_chemical_formula_sum 'Au1 Se1 S1 Br2'
_symmetry_space_group_name_H-M 'P 4/m m m'
_symmetry_Int_Tables_number 123
_symmetry_space_group_name_Hall '-P 4 2'
_cell_length_a 5.2032
_cell_length_b 5.2032
_cell_length_c 5.2498
_cell_angle_alpha 90.00
_cell_angle_beta 90.00
_cell_angle_gamma 90.00
loop_
_atom_site_label
_atom_site_type_symbol
_atom_site_fract_x
_atom_site_fract_y
_atom_site_fract_z
Au1 Au 0.0000 0.0000 0.0000
Se1 Se 0.0000 0.0000 0.5000
S1 S 0.5000 0.5000 0.5000
Br1 Br 0.0000 0.5000 0.0000
```

(6)
Starting from a DFT-relaxed cell (PBE, Alexandria), the powder diffractogram of NaH6Pd7 was simulated for CuKα.
Peak positions follow from Bragg's law for the DFT cell and can differ from measured ones.

The 10 most intense peaks (10° ≤ 2θ ≤ 80°), most intense first:
(1 1 3), 38.27 deg, I 100; (2 -1 6), 44.42 deg, I 68; (0 0 9), 38.07 deg, I 32; (0 0 3), 12.48 deg, I 30; (3 0 9), 77.67 deg, I 23; (1 1 12), 64.50 deg, I 21; (3 0 0), 64.77 deg, I 20; (2 -1 15), 77.42 deg, I 13; (4 -2 3), 77.80 deg, I 12; (1 1 0), 36.03 deg, I 7

```
data_NaH6Pd7
_chemical_formula_sum 'Na3 H18 Pd21'
_symmetry_space_group_name_H-M 'R 3'
_symmetry_Int_Tables_number 146
_symmetry_space_group_name_Hall 'R 3'
_cell_length_a 4.9859
_cell_length_b 4.9859
_cell_length_c 21.2731
_cell_angle_alpha 90.00
_cell_angle_beta 90.00
_cell_angle_gamma 120.00
loop_
_atom_site_label
_atom_site_type_symbol
_atom_site_fract_x
_atom_site_fract_y
_atom_site_fract_z
Na1 Na 0.0000 0.0000 0.0000
H1 H 0.0065 0.3179 0.4057
H2 H 0.0089 0.6892 0.2613
Pd1 Pd 0.0000 0.0000 0.3335
Pd2 Pd 0.0003 0.3357 0.2222
Pd3 Pd 0.0016 0.6650 0.4448
```

(7)
Starting from a DFT-relaxed cell (PBE, Alexandria), the powder diffractogram of Cs3Mg2Tl8 was simulated for CuKα.
Peak positions follow from Bragg's law for the DFT cell and can differ from measured ones.

The 10 most intense peaks (10° ≤ 2θ ≤ 80°), most intense first:
(0 1 8), 25.53 deg, I 100; (2 0 5), 29.52 deg, I 78; (1 1 3), 23.99 deg, I 58; (0 3 3), 40.41 deg, I 56; (2 0 2), 26.63 deg, I 56; (2 1 1), 34.81 deg, I 41; (0 2 7), 32.53 deg, I 40; (1 1 0), 22.51 deg, I 35; (1 0 10), 30.48 deg, I 33; (1 2 11), 46.71 deg, I 32

```
data_Cs3Mg2Tl8
_chemical_formula_sum 'Cs9 Mg6 Tl24'
_symmetry_space_group_name_H-M 'R -3 m'
_symmetry_Int_Tables_number 166
_symmetry_space_group_name_Hall '-R 3 2"'
_cell_length_a 7.8993
_cell_length_b 7.8993
_cell_length_c 32.4566
_cell_angle_alpha 90.00
_cell_angle_beta 90.00
_cell_angle_gamma 120.00
loop_
_atom_site_label
_atom_site_type_symbol
_atom_site_fract_x
_atom_site_fract_y
_atom_site_fract_z
Cs1 Cs 0.0000 0.0000 0.0000
Cs2 Cs 0.0000 0.0000 0.2463
Mg1 Mg 0.0000 0.0000 0.4525
Tl1 Tl 0.0000 0.0000 0.3625
Tl2 Tl 0.0698 0.5349 0.8000
```

(8)
Starting from a DFT-relaxed cell (PBE, Alexandria), the powder diffractogram of Mg4Os3 was simulated for CuKα.
Peak positions follow from Bragg's law for the DFT cell and can differ from measured ones.

The 10 most intense peaks (10° ≤ 2θ ≤ 80°), most intense first:
(0 0 4), 11.95 deg, I 100; (1 0 7), 37.91 deg, I 54; (1 0 11), 46.26 deg, I 23; (1 1 0), 44.70 deg, I 19; (1 0 3), 32.52 deg, I 19; (1 1 4), 46.44 deg, I 15; (2 1 7), 77.84 deg, I 13; (1 1 14), 63.57 deg, I 8; (1 1 18), 74.24 deg, I 7; (0 0 14), 42.75 deg, I 7

```
data_Mg4Os3
_chemical_formula_sum 'Mg8 Os6'
_symmetry_space_group_name_H-M 'I 4/m m m'
_symmetry_Int_Tables_number 139
_symmetry_space_group_name_Hall '-I 4 2'
_cell_length_a 2.8673
_cell_length_b 2.8673
_cell_length_c 29.6117
_cell_angle_alpha 90.00
_cell_angle_beta 90.00
_cell_angle_gamma 90.00
loop_
_atom_site_label
_atom_site_type_symbol
_atom_site_fract_x
_atom_site_fract_y
_atom_site_fract_z
Mg1 Mg 0.0000 0.0000 0.0648
Mg2 Mg 0.0000 0.0000 0.3440
Os1 Os 0.0000 0.0000 0.2226
Os2 Os 0.0000 0.0000 0.5000
```

(9)
Starting from a DFT-relaxed cell (PBE, Alexandria), the powder diffractogram of Rb3PuI6 was simulated for CuKα.
Peak positions follow from Bragg's law for the DFT cell and can differ from measured ones.

The 10 most intense peaks (10° ≤ 2θ ≤ 80°), most intense first:
(1 0 -4), 23.53 deg, I 100; (3 1 -1), 35.55 deg, I 95; (2 1 -2), 22.62 deg, I 89; (0 1 1), 11.72 deg, I 74; (1 1 -1), 13.90 deg, I 71; (2 1 -1), 23.72 deg, I 65; (1 0 -2), 12.41 deg, I 64; (2 2 -2), 28.01 deg, I 64; (1 3 -1), 30.28 deg, I 60; (1 1 1), 19.81 deg, I 60

```
data_Rb3PuI6
_chemical_formula_sum 'Rb6 Pu2 I12'
_symmetry_space_group_name_H-M 'P 1 21/c 1'
_symmetry_Int_Tables_number 14
_cell_length_a 8.6443
_cell_length_b 9.4235
_cell_length_c 15.2857
_cell_angle_alpha 90.00
_cell_angle_beta 124.36
_cell_angle_gamma 90.00
loop_
_symmetry_equiv_pos_as_xyz
'x,y,z'
'-x,-y,-z'
'-x,y+1/2,-z+1/2'
'x,-y+1/2,z+1/2'
loop_
_atom_site_label
_atom_site_type_symbol
_atom_site_fract_x
_atom_site_fract_y
_atom_site_fract_z
Rb1 Rb 0.0000 0.0000 0.0000
Rb2 Rb 0.2139 0.0869 0.7497
Pu1 Pu 0.5000 0.0000 0.5000
I1 I 0.1470 0.1752 0.4371
I2 I 0.2707 0.7174 0.4302
I3 I 0.4046 0.0514 0.2732
```

(10)
Starting from a DFT-relaxed cell (PBE, Alexandria), the powder diffractogram of TiNbTe was simulated for CuKα.
Peak positions follow from Bragg's law for the DFT cell and can differ from measured ones.

The 10 most intense peaks (10° ≤ 2θ ≤ 80°), most intense first:
(1 0 3), 38.73 deg, I 100; (1 1 0), 35.94 deg, I 64; (2 1 3), 66.46 deg, I 39; (2 0 0), 51.74 deg, I 22; (1 1 6), 71.88 deg, I 13; (1 0 0), 25.20 deg, I 13; (2 2 0), 76.21 deg, I 7; (0 0 6), 59.91 deg, I 6; (1 1 3), 46.77 deg, I 5; (0 0 3), 28.91 deg, I 5

```
data_TiNbTe
_chemical_formula_sum 'Ti2 Nb2 Te2'
_symmetry_space_group_name_H-M 'P 4 m m'
_symmetry_Int_Tables_number 99
_cell_length_a 3.5334
_cell_length_b 3.5334
_cell_length_c 9.2642
_cell_angle_alpha 90.00
_cell_angle_beta 90.00
_cell_angle_gamma 90.00
loop_
_symmetry_equiv_pos_as_xyz
'x,y,z'
'-y,x,z'
'-x,-y,z'
'y,-x,z'
'-x,y,z'
'y,x,z'
'x,-y,z'
'-y,-x,z'
loop_
_atom_site_label
_atom_site_type_symbol
_atom_site_fract_x
_atom_site_fract_y
_atom_site_fract_z
Ti1 Ti 0.0000 0.0000 0.0000
Ti2 Ti 0.0000 0.0000 0.3455
Nb1 Nb 0.0000 0.0000 0.6932
Nb2 Nb 0.5000 0.5000 0.8484
Te1 Te 0.5000 0.5000 0.1647
Te2 Te 0.5000 0.5000 0.5222
```

(11)
Starting from a DFT-relaxed cell (PBE, Alexandria), the powder diffractogram of Pm2Sm2HoEr was simulated for CuKα.
Peak positions follow from Bragg's law for the DFT cell and can differ from measured ones.

The 10 most intense peaks (10° ≤ 2θ ≤ 80°), most intense first:
(0 2 0), 31.55 deg, I 100; (2 1 1), 31.23 deg, I 93; (2 3 1), 55.98 deg, I 35; (2 2 2), 44.99 deg, I 34; (4 2 0), 61.99 deg, I 29; (0 3 3), 56.18 deg, I 19; (2 4 2), 74.70 deg, I 15; (4 3 3), 79.98 deg, I 14; (0 4 0), 65.87 deg, I 12; (2 2 0), 40.84 deg, I 10

```
data_Pm2Sm2HoEr
_chemical_formula_sum 'Pm4 Sm4 Ho2 Er2'
_symmetry_space_group_name_H-M 'P m m a'
_symmetry_Int_Tables_number 51
_cell_length_a 7.0500
_cell_length_b 5.6727
_cell_length_c 9.8223
_cell_angle_alpha 90.00
_cell_angle_beta 90.00
_cell_angle_gamma 90.00
loop_
_symmetry_equiv_pos_as_xyz
'x,y,z'
'-x,-y,-z'
'-x+1/2,-y,z'
'x+1/2,y,-z'
'x+1/2,-y,-z'
'-x+1/2,y,z'
'-x,y,-z'
'x,-y,z'
loop_
_atom_site_label
_atom_site_type_symbol
_atom_site_fract_x
_atom_site_fract_y
_atom_site_fract_z
Pm1 Pm 0.2500 0.0000 0.1611
Pm2 Pm 0.2500 0.5000 0.6713
Sm1 Sm 0.0000 0.5000 0.0000
Sm2 Sm 0.2500 0.0000 0.8228
Ho1 Ho 0.2500 0.5000 0.3419
Er1 Er 0.0000 0.0000 0.5000
```

(12)
Starting from a DFT-relaxed cell (PBE, Alexandria), the powder diffractogram of K7Rb2Au was simulated for CuKα.
Peak positions follow from Bragg's law for the DFT cell and can differ from measured ones.

The 10 most intense peaks (10° ≤ 2θ ≤ 80°), most intense first:
(4 2 -2), 23.45 deg, I 100; (4 0 -2), 17.50 deg, I 92; (3 1 0), 15.51 deg, I 86; (2 2 2), 28.25 deg, I 83; (0 4 2), 36.06 deg, I 66; (6 0 0), 27.03 deg, I 49; (4 2 -4), 34.20 deg, I 37; (4 2 0), 23.79 deg, I 37; (4 0 -4), 30.29 deg, I 23; (6 0 2), 39.50 deg, I 22

```
data_K7Rb2Au
_chemical_formula_sum 'K28 Rb8 Au4'
_symmetry_space_group_name_H-M 'C 1 2/c 1'
_symmetry_Int_Tables_number 15
_cell_length_a 23.0006
_cell_length_b 11.4490
_cell_length_c 11.8036
_cell_angle_alpha 90.00
_cell_angle_beta 120.80
_cell_angle_gamma 90.00
loop_
_symmetry_equiv_pos_as_xyz
'x,y,z'
'-x,-y,-z'
'-x,y,-z+1/2'
'x,-y,z+1/2'
'x+1/2,y+1/2,z'
'-x+1/2,-y+1/2,-z'
'-x+1/2,y+1/2,-z+1/2'
'x+1/2,-y+1/2,z+1/2'
loop_
_atom_site_label
_atom_site_type_symbol
_atom_site_fract_x
_atom_site_fract_y
_atom_site_fract_z
K1 K 0.0000 0.0013 0.2500
K2 K 0.0417 0.3444 0.0419
K3 K 0.1381 0.3211 0.8377
K4 K 0.1387 0.3226 0.4390
Rb1 Rb 0.1928 0.0087 0.1922
Au1 Au 0.0000 0.5002 0.2500
```

Question: What is the formula in the first record?
Answer: HoPuSc2

Copy entry 12 word for word.
Starting from a DFT-relaxed cell (PBE, Alexandria), the powder diffractogram of K7Rb2Au was simulated for CuKα.
Peak positions follow from Bragg's law for the DFT cell and can differ from measured ones.

The 10 most intense peaks (10° ≤ 2θ ≤ 80°), most intense first:
(4 2 -2), 23.45 deg, I 100; (4 0 -2), 17.50 deg, I 92; (3 1 0), 15.51 deg, I 86; (2 2 2), 28.25 deg, I 83; (0 4 2), 36.06 deg, I 66; (6 0 0), 27.03 deg, I 49; (4 2 -4), 34.20 deg, I 37; (4 2 0), 23.79 deg, I 37; (4 0 -4), 30.29 deg, I 23; (6 0 2), 39.50 deg, I 22

```
data_K7Rb2Au
_chemical_formula_sum 'K28 Rb8 Au4'
_symmetry_space_group_name_H-M 'C 1 2/c 1'
_symmetry_Int_Tables_number 15
_cell_length_a 23.0006
_cell_length_b 11.4490
_cell_length_c 11.8036
_cell_angle_alpha 90.00
_cell_angle_beta 120.80
_cell_angle_gamma 90.00
loop_
_symmetry_equiv_pos_as_xyz
'x,y,z'
'-x,-y,-z'
'-x,y,-z+1/2'
'x,-y,z+1/2'
'x+1/2,y+1/2,z'
'-x+1/2,-y+1/2,-z'
'-x+1/2,y+1/2,-z+1/2'
'x+1/2,-y+1/2,z+1/2'
loop_
_atom_site_label
_atom_site_type_symbol
_atom_site_fract_x
_atom_site_fract_y
_atom_site_fract_z
K1 K 0.0000 0.0013 0.2500
K2 K 0.0417 0.3444 0.0419
K3 K 0.1381 0.3211 0.8377
K4 K 0.1387 0.3226 0.4390
Rb1 Rb 0.1928 0.0087 0.1922
Au1 Au 0.0000 0.5002 0.2500
```